1.
Structure and computed X-ray powder pattern of YAl8Cr4 (DFT lattice parameters and positions (PBE); a wavelength of 1.5418 Å).

Crystal structure
Cell: 6.7939 6.7939 6.7939 Å, 97.95 97.95 136.33°
Fractional coordinates of all 13 atoms:
Y: 0.0000 0.0000 0.0000
Al: 0.0000 0.3370 0.3370
Al: 0.0000 0.6630 0.6630
Al: 0.2773 0.5000 0.7773
Al: 0.3370 0.0000 0.3370
Al: 0.5000 0.2773 0.7773
Al: 0.5000 0.7227 0.2227
Al: 0.6630 0.0000 0.6630
Al: 0.7227 0.5000 0.2227
Cr: 0.0000 0.0000 0.5000
Cr: 0.0000 0.5000 0.0000
Cr: 0.5000 0.0000 0.0000
Cr: 0.5000 0.5000 0.5000

The 10 most intense peaks (10° ≤ 2θ ≤ 80°), by intensity:
- 2.198 Å, intensity 100.0
- 2.230 Å, intensity 82.5
- 2.222 Å, intensity 70.9
- 1.972 Å, intensity 46.4
- 2.562 Å, intensity 40.8
- 1.565 Å, intensity 30.9
- 3.131 Å, intensity 30.6
- 3.153 Å, intensity 30.0
- 4.459 Å, intensity 27.1
- 1.281 Å, intensity 26.5



2.
Structure and computed X-ray powder pattern of CuGeI3 (DFT lattice parameters and positions (PBE); a wavelength of 1.5418 Å).

Crystal structure
Cell: 6.3256 6.3256 4.3331 Å, 92.68 92.68 102.59°
Fractional coordinates of all 5 atoms:
Cu: 0.0000 0.0000 0.0000
Ge: 0.4296 0.4296 0.5630
I: 0.2452 0.8756 0.5732
I: 0.6664 0.6664 0.0849
I: 0.8756 0.2452 0.5732

The 10 most intense peaks (10° ≤ 2θ ≤ 80°), by intensity:
- 3.035 Å, intensity 100.0
- 3.944 Å, intensity 79.3
- 3.251 Å, intensity 73.7
- 2.581 Å, intensity 52.2
- 3.445 Å, intensity 50.5
- 2.452 Å, intensity 39.8
- 2.519 Å, intensity 36.1
- 2.160 Å, intensity 35.3
- 2.541 Å, intensity 34.7
- 1.738 Å, intensity 31.7



3.
Structure and computed X-ray powder pattern of ThSc (DFT lattice parameters and positions (PBE); a wavelength of 1.5418 Å).

Crystal structure
Cell: 5.8276 5.8276 5.8276 Å, 34.55 34.55 34.55°
Fractional coordinates of all 2 atoms:
Th: 0.0000 0.0000 0.0000
Sc: 0.5000 0.5000 0.5000

The 10 most intense peaks (10° ≤ 2θ ≤ 80°), by intensity:
- 2.816 Å, intensity 100.0
- 5.474 Å, intensity 70.2
- 2.421 Å, intensity 65.9
- 2.949 Å, intensity 49.3
- 2.737 Å, intensity 30.9
- 1.463 Å, intensity 27.6
- 1.730 Å, intensity 24.0
- 2.214 Å, intensity 23.1
- 1.694 Å, intensity 22.4
- 1.650 Å, intensity 19.5



4.
Structure and computed X-ray powder pattern of MoC (DFT lattice parameters and positions (PBE); a wavelength of 1.5418 Å).

Crystal structure
Cell: 3.0736 3.0736 15.4204 Å, 90.00 90.00 120.00°
Fractional coordinates of all 12 atoms:
Mo: 0.0000 0.0000 0.2500
Mo: 0.0000 0.0000 0.7500
Mo: 0.3333 0.6667 0.0762
Mo: 0.3333 0.6667 0.4238
Mo: 0.6667 0.3333 0.5762
Mo: 0.6667 0.3333 0.9238
C: 0.0000 0.0000 0.0000
C: 0.0000 0.0000 0.5000
C: 0.3333 0.6667 0.6665
C: 0.3333 0.6667 0.8335
C: 0.6667 0.3333 0.1665
C: 0.6667 0.3333 0.3335

The 10 most intense peaks (10° ≤ 2θ ≤ 80°), by intensity:
- 2.364 Å, intensity 100.0
- 2.516 Å, intensity 81.7
- 2.190 Å, intensity 59.8
- 2.570 Å, intensity 49.0
- 1.537 Å, intensity 44.8
- 1.319 Å, intensity 36.7
- 2.015 Å, intensity 36.5
- 1.561 Å, intensity 32.3
- 2.623 Å, intensity 18.5
- 1.441 Å, intensity 17.3



5.
Structure and computed X-ray powder pattern of Na3ScF6 (DFT lattice parameters and positions (PBE); a wavelength of 1.5418 Å).

Crystal structure
Cell: 5.9614 5.9614 5.9614 Å, 60.00 60.00 60.00°
Fractional coordinates of all 10 atoms:
Na: 0.0000 0.0000 0.0000
Na: 0.2500 0.2500 0.2500
Na: 0.7500 0.7500 0.7500
Sc: 0.5000 0.5000 0.5000
F: 0.2610 0.2610 0.7390
F: 0.2610 0.7390 0.2610
F: 0.2610 0.7390 0.7390
F: 0.7390 0.2610 0.2610
F: 0.7390 0.2610 0.7390
F: 0.7390 0.7390 0.2610

The 10 most intense peaks (10° ≤ 2θ ≤ 80°), by intensity:
- 2.108 Å, intensity 100.0
- 2.981 Å, intensity 65.3
- 1.490 Å, intensity 52.9
- 4.215 Å, intensity 51.3
- 2.434 Å, intensity 36.6
- 1.721 Å, intensity 24.5
- 4.867 Å, intensity 22.1
- 1.885 Å, intensity 16.0
- 1.217 Å, intensity 15.0
- 1.333 Å, intensity 10.9



6.
Structure and computed X-ray powder pattern of Sn3Ge (DFT lattice parameters and positions (PBE); a wavelength of 1.5418 Å).

Crystal structure
Cell: 4.6857 4.6857 4.6857 Å, 90.00 90.00 90.00°
Fractional coordinates of all 4 atoms:
Sn: 0.0000 0.0000 0.5000
Sn: 0.0000 0.5000 0.0000
Sn: 0.5000 0.0000 0.0000
Ge: 0.5000 0.5000 0.5000

The 10 most intense peaks (10° ≤ 2θ ≤ 80°), by intensity:
- 2.705 Å, intensity 100.0
- 2.343 Å, intensity 50.4
- 1.413 Å, intensity 42.4
- 1.657 Å, intensity 35.4
- 1.353 Å, intensity 12.3
- 4.686 Å, intensity 3.0
- 3.313 Å, intensity 2.7
- 2.096 Å, intensity 1.7
- 1.913 Å, intensity 1.3
- 1.562 Å, intensity 0.9



7.
Structure and computed X-ray powder pattern of NdAgSn (DFT lattice parameters and positions (PBE); a wavelength of 1.5418 Å).

Crystal structure
Cell: 4.8227 4.8227 7.6760 Å, 90.00 90.00 120.00°
Fractional coordinates of all 6 atoms:
Nd: 0.0000 0.0000 0.0000
Nd: 0.0000 0.0000 0.5000
Ag: 0.3333 0.6667 0.3032
Ag: 0.6667 0.3333 0.8032
Sn: 0.3333 0.6667 0.7204
Sn: 0.6667 0.3333 0.2204

The 10 most intense peaks (10° ≤ 2θ ≤ 80°), by intensity:
- 2.826 Å, intensity 100.0
- 2.411 Å, intensity 76.5
- 1.834 Å, intensity 28.3
- 1.460 Å, intensity 26.7
- 1.502 Å, intensity 16.8
- 2.182 Å, intensity 16.3
- 1.392 Å, intensity 13.5
- 3.669 Å, intensity 9.0
- 1.206 Å, intensity 8.5
- 1.441 Å, intensity 8.0